This entry pairs a crystal structure of AcZnCuPd with its calculated X-ray diffraction stick pattern. Radiation: Cu Kα (weighted mean of Kα1 and Kα2). Structure: DFT lattice parameters and positions (GGA-PBE).
Peak positions follow from Bragg's law for the DFT cell and can differ from measured ones.

Structural model:
```
data_AcZnCuPd
_chemical_formula_sum 'Ac2 Zn2 Cu2 Pd2'
_symmetry_space_group_name_H-M 'C 1 m 1'
_symmetry_Int_Tables_number 8
_cell_length_a 7.6822
_cell_length_b 4.4425
_cell_length_c 5.7351
_cell_angle_alpha 90.00
_cell_angle_beta 116.74
_cell_angle_gamma 90.00
loop_
_symmetry_equiv_pos_as_xyz
'x,y,z'
'x,-y,z'
'x+1/2,y+1/2,z'
'x+1/2,-y+1/2,z'
loop_
_atom_site_label
_atom_site_fract_x
_atom_site_fract_y
_atom_site_fract_z
_atom_site_occupancy
Ac1 0.0000 0.0000 0.0000 1
Zn1 0.9999 0.5000 0.4997 1
Cu1 0.2995 0.5000 0.3994 1
Pd1 0.2033 0.0000 0.6100 1
```

Peak list (6 most intense, 2θ from 10° to 80°, by angle)
| two_theta | d [Å] | Rel. int. | index |
| --- | --- | --- | --- |
| 23.86 | 3.729 | 735 | 2 0 -1 |
| 25.92 | 3.438 | 302 | 1 1 -1 |
| 32.96 | 2.717 | 1000 | 1 1 1 |
| 37.42 | 2.403 | 394 | 1 1 -2 |
| 40.65 | 2.219 | 974 | 0 2 0 |
| 54.67 | 1.679 | 281 | 0 2 2 |

---

This entry pairs a crystal structure of Ba2Ce3Te6 with its calculated X-ray diffraction stick pattern. Radiation: Cu Kα (weighted mean of Kα1 and Kα2). Structure: DFT lattice parameters and positions (GGA-PBE).
Peak positions follow from Bragg's law for the DFT cell and can differ from measured ones.

Structural model:
```
data_Ba2Ce3Te6
_chemical_formula_sum 'Ba4 Ce6 Te12'
_symmetry_space_group_name_H-M 'C 1 2/m 1'
_symmetry_Int_Tables_number 12
_cell_length_a 7.9996
_cell_length_b 13.8447
_cell_length_c 8.5109
_cell_angle_alpha 90.00
_cell_angle_beta 108.19
_cell_angle_gamma 90.00
loop_
_symmetry_equiv_pos_as_xyz
'x,y,z'
'-x,-y,-z'
'-x,y,-z'
'x,-y,z'
'x+1/2,y+1/2,z'
'-x+1/2,-y+1/2,-z'
'-x+1/2,y+1/2,-z'
'x+1/2,-y+1/2,z'
loop_
_atom_site_label
_atom_site_fract_x
_atom_site_fract_y
_atom_site_fract_z
_atom_site_occupancy
Ba1 0.0000 0.1670 0.0000 1
Ce1 0.0000 0.0000 0.5000 1
Ce2 0.0000 0.3341 0.5000 1
Te1 0.2405 0.5000 0.7242 1
Te2 0.2413 0.1663 0.7233 1
```

Peak list (6 most intense, 2θ from 10° to 80°, by angle)
| two_theta | d [Å] | Rel. int. | index |
| --- | --- | --- | --- |
| 26.71 | 3.338 | 1000 | 1 3 1 |
| 37.22 | 2.416 | 381 | 2 0 2 |
| 39.02 | 2.308 | 372 | 0 6 0 |
| 47.91 | 1.899 | 202 | 4 0 0 |
| 60.92 | 1.521 | 158 | 3 3 -5 |
| 63.44 | 1.466 | 171 | 1 9 1 |

---

This entry pairs a crystal structure of CaY2Mg2 with its calculated X-ray diffraction stick pattern. Radiation: Cu Kα (weighted mean of Kα1 and Kα2). Structure: DFT lattice parameters and positions (GGA-PBE).
Peak positions follow from Bragg's law for the DFT cell and can differ from measured ones.

Structural model:
```
data_CaY2Mg2
_chemical_formula_sum 'Ca2 Y4 Mg4'
_symmetry_space_group_name_H-M 'P 4/m b m'
_symmetry_Int_Tables_number 127
_symmetry_space_group_name_Hall '-P 4 2ab'
_cell_length_a 9.2260
_cell_length_b 9.2260
_cell_length_c 3.6158
_cell_angle_alpha 90.00
_cell_angle_beta 90.00
_cell_angle_gamma 90.00
loop_
_atom_site_label
_atom_site_fract_x
_atom_site_fract_y
_atom_site_fract_z
_atom_site_occupancy
Ca1 0.0000 0.0000 0.0000 1
Y1 0.1713 0.3287 0.5000 1
Mg1 0.1225 0.6225 0.0000 1
```

Peak list (6 most intense, 2θ from 10° to 80°, by angle)
| two_theta | d [Å] | Rel. int. | index |
| --- | --- | --- | --- |
| 21.54 | 4.126 | 496 | 2 1 0 |
| 30.64 | 2.918 | 499 | 3 1 0 |
| 31.44 | 2.846 | 410 | 2 0 1 |
| 32.94 | 2.719 | 1000 | 2 1 1 |
| 40.31 | 2.238 | 219 | 4 1 0 |
| 47.80 | 1.903 | 249 | 4 1 1 |

---

This entry pairs a crystal structure of Pa2BeCo3 with its calculated X-ray diffraction stick pattern. Radiation: Cu Kα (weighted mean of Kα1 and Kα2). Structure: DFT lattice parameters and positions (GGA-PBE).
Peak positions follow from Bragg's law for the DFT cell and can differ from measured ones.

Structural model:
```
data_Pa2BeCo3
_chemical_formula_sum 'Pa6 Be3 Co9'
_symmetry_space_group_name_H-M 'R -3 m'
_symmetry_Int_Tables_number 166
_symmetry_space_group_name_Hall '-R 3 2"'
_cell_length_a 5.1477
_cell_length_b 5.1477
_cell_length_c 11.1906
_cell_angle_alpha 90.00
_cell_angle_beta 90.00
_cell_angle_gamma 120.00
loop_
_atom_site_label
_atom_site_fract_x
_atom_site_fract_y
_atom_site_fract_z
_atom_site_occupancy
Pa1 0.0000 0.0000 0.1285 1
Be1 0.0000 0.0000 0.5000 1
Co1 0.0000 0.5000 0.0000 1
```

Peak list (6 most intense, 2θ from 10° to 80°, by angle)
| two_theta | d [Å] | Rel. int. | index |
| --- | --- | --- | --- |
| 21.46 | 4.142 | 945 | 1 0 1 |
| 34.86 | 2.574 | 767 | 1 1 0 |
| 37.97 | 2.370 | 1000 | 1 0 4 |
| 41.30 | 2.186 | 748 | 0 2 1 |
| 42.68 | 2.118 | 939 | 1 1 3 |
| 64.57 | 1.443 | 431 | 2 1 4 |

---

This entry pairs a crystal structure of NaCoIr2Se with its calculated X-ray diffraction stick pattern. Radiation: Cu Kα (weighted mean of Kα1 and Kα2). Structure: DFT lattice parameters and positions (GGA-PBE).
Peak positions follow from Bragg's law for the DFT cell and can differ from measured ones.

Structural model:
```
data_NaCoIr2Se
_chemical_formula_sum 'Na1 Co1 Ir2 Se1'
_symmetry_space_group_name_H-M 'P 4/m m m'
_symmetry_Int_Tables_number 123
_symmetry_space_group_name_Hall '-P 4 2'
_cell_length_a 4.6456
_cell_length_b 4.6456
_cell_length_c 4.4299
_cell_angle_alpha 90.00
_cell_angle_beta 90.00
_cell_angle_gamma 90.00
loop_
_atom_site_label
_atom_site_fract_x
_atom_site_fract_y
_atom_site_fract_z
_atom_site_occupancy
Na1 0.0000 0.0000 0.0000 1
Co1 0.5000 0.5000 0.0000 1
Ir1 0.0000 0.5000 0.5000 1
Se1 0.5000 0.5000 0.5000 1
```

Peak list (6 most intense, 2θ from 10° to 80°, by angle)
| two_theta | d [Å] | Rel. int. | index |
| --- | --- | --- | --- |
| 20.04 | 4.430 | 853 | 0 0 1 |
| 33.98 | 2.639 | 1000 | 1 1 1 |
| 38.77 | 2.323 | 698 | 2 0 0 |
| 40.74 | 2.215 | 304 | 0 0 2 |
| 44.02 | 2.057 | 458 | 2 0 1 |
| 57.49 | 1.603 | 440 | 2 0 2 |

---

This entry pairs a crystal structure of UZn2PbO8 with its calculated X-ray diffraction stick pattern. Radiation: Cu Kα (weighted mean of Kα1 and Kα2). Structure: DFT lattice parameters and positions (GGA-PBE).
Peak positions follow from Bragg's law for the DFT cell and can differ from measured ones.

Structural model:
```
data_UZn2PbO8
_chemical_formula_sum 'U2 Zn4 Pb2 O16'
_symmetry_space_group_name_H-M 'I -4 m 2'
_symmetry_Int_Tables_number 119
_symmetry_space_group_name_Hall 'I -4 -2'
_cell_length_a 6.7265
_cell_length_b 6.7265
_cell_length_c 7.1673
_cell_angle_alpha 90.00
_cell_angle_beta 90.00
_cell_angle_gamma 90.00
loop_
_atom_site_label
_atom_site_fract_x
_atom_site_fract_y
_atom_site_fract_z
_atom_site_occupancy
U1 0.0000 0.0000 0.0000 1
Zn1 0.0000 0.0000 0.5000 1
Zn2 0.0000 0.5000 0.2500 1
Pb1 0.0000 0.5000 0.7500 1
O1 0.0000 0.1821 0.7079 1
O2 0.0000 0.2983 0.0539 1
```

Peak list (6 most intense, 2θ from 10° to 80°, by angle)
| two_theta | d [Å] | Rel. int. | index |
| --- | --- | --- | --- |
| 18.09 | 4.905 | 588 | 1 0 1 |
| 26.50 | 3.363 | 934 | 2 0 0 |
| 31.25 | 2.862 | 1000 | 1 1 2 |
| 37.83 | 2.378 | 242 | 2 2 0 |
| 49.85 | 1.829 | 694 | 3 1 2 |
| 58.35 | 1.581 | 204 | 2 0 4 |

---

This entry pairs a crystal structure of Rb3SnHg6 with its calculated X-ray diffraction stick pattern. Radiation: Cu Kα (weighted mean of Kα1 and Kα2). Structure: DFT lattice parameters and positions (GGA-PBE).
Peak positions follow from Bragg's law for the DFT cell and can differ from measured ones.

Structural model:
```
data_Rb3SnHg6
_chemical_formula_sum 'Rb9 Sn3 Hg18'
_symmetry_space_group_name_H-M 'R -3 m'
_symmetry_Int_Tables_number 166
_symmetry_space_group_name_Hall '-R 3 2"'
_cell_length_a 13.6255
_cell_length_b 13.6255
_cell_length_c 6.6862
_cell_angle_alpha 90.00
_cell_angle_beta 90.00
_cell_angle_gamma 120.00
loop_
_atom_site_label
_atom_site_fract_x
_atom_site_fract_y
_atom_site_fract_z
_atom_site_occupancy
Rb1 0.0000 0.5000 0.0000 1
Sn1 0.0000 0.0000 0.5000 1
Hg1 0.0954 0.1908 0.8387 1
```

Peak list (6 most intense, 2θ from 10° to 80°, by angle)
| two_theta | d [Å] | Rel. int. | index |
| --- | --- | --- | --- |
| 12.99 | 6.813 | 186 | 1 1 0 |
| 22.61 | 3.933 | 215 | 3 0 0 |
| 30.41 | 2.940 | 1000 | 1 3 1 |
| 30.74 | 2.909 | 261 | 2 0 2 |
| 38.49 | 2.339 | 383 | 3 1 2 |
| 39.69 | 2.271 | 179 | 3 3 0 |

---

This entry pairs a crystal structure of GaSeO2 with its calculated X-ray diffraction stick pattern. Radiation: Cu Kα (weighted mean of Kα1 and Kα2). Structure: DFT lattice parameters and positions (GGA-PBE).
Peak positions follow from Bragg's law for the DFT cell and can differ from measured ones.

Structural model:
```
data_GaSeO2
_chemical_formula_sum 'Ga3 Se3 O6'
_symmetry_space_group_name_H-M 'R -3 m'
_symmetry_Int_Tables_number 166
_symmetry_space_group_name_Hall '-R 3 2"'
_cell_length_a 3.0366
_cell_length_b 3.0366
_cell_length_c 18.7424
_cell_angle_alpha 90.00
_cell_angle_beta 90.00
_cell_angle_gamma 120.00
loop_
_atom_site_label
_atom_site_fract_x
_atom_site_fract_y
_atom_site_fract_z
_atom_site_occupancy
Ga1 0.0000 0.0000 0.0000 1
Se1 0.0000 0.0000 0.5000 1
O1 0.0000 0.0000 0.3874 1
```

Peak list (6 most intense, 2θ from 10° to 80°, by angle)
| two_theta | d [Å] | Rel. int. | index |
| --- | --- | --- | --- |
| 28.58 | 3.124 | 447 | 0 0 6 |
| 35.45 | 2.532 | 1000 | 0 1 2 |
| 39.29 | 2.293 | 448 | 1 0 4 |
| 52.30 | 1.749 | 399 | 0 1 8 |
| 60.68 | 1.526 | 239 | 1 0 10 |
| 61.03 | 1.518 | 257 | 1 1 0 |